1.
The following is a simulated powder diffraction line list of Ho2Er8Th. It was derived from a crystal structure in Alexandria, relaxed with GGA-PBE, using Cu Kα X-rays.
Peak positions follow from Bragg's law for the DFT cell and can differ from measured ones.

a b c (Å): 9.314 9.314 7.869
angles (deg): 104.68 104.68 31.02
Element x y z (fractional)
Ho: 0.228 0.228 0.136
Ho: 0.772 0.772 0.864
Er: 0.045 0.045 0.231
Er: 0.136 0.136 0.680
Er: 0.319 0.319 0.592
Er: 0.409 0.409 0.047
Er: 0.591 0.591 0.953
Er: 0.681 0.681 0.408
Er: 0.864 0.864 0.320
Er: 0.955 0.955 0.769
Th: 0.500 0.500 0.500

Peak list (7 most intense, 2θ = 10–80°, by intensity)
2theta, I_rel
31.1, 100
36.1, 51
61.8, 43
51.9, 36
64.9, 12
76.5, 4
76.6, 2


2.
The following is a simulated powder diffraction line list of Mg2H5Ir2. It was derived from a crystal structure in Alexandria, relaxed with GGA-PBE, using Cu Kα X-rays.
Peak positions follow from Bragg's law for the DFT cell and can differ from measured ones.

a b c (Å): 4.806 4.806 4.806
angles (deg): 117.06 95.16 117.08
Element x y z (fractional)
Mg: 0.000 0.000 0.000
Mg: 0.501 0.001 0.500
H: 0.001 0.001 0.501
H: 0.001 0.500 0.000
H: 0.500 0.001 0.000
H: 0.500 0.500 0.499
H: 0.501 0.501 0.000
Ir: 0.228 0.501 0.727
Ir: 0.774 0.501 0.273

Peak list (10 most intense, 2θ = 10–80°, by intensity)
2theta, I_rel
37.6, 100
25.1, 89
35.8, 61
45.7, 41
65.5, 40
27.5, 33
59.4, 24
51.5, 23
58.1, 18
69.0, 14


3.
The following is a simulated powder diffraction line list of CaTlZnIn. It was derived from a crystal structure in Alexandria, relaxed with GGA-PBE, using Cu Kα X-rays.
Peak positions follow from Bragg's law for the DFT cell and can differ from measured ones.

a b c (Å): 5.218 5.218 5.218
angles (deg): 60.00 60.00 60.00
Element x y z (fractional)
Ca: 0.000 0.000 0.000
Tl: 0.250 0.250 0.250
Zn: 0.750 0.750 0.750
In: 0.500 0.500 0.500

Peak list (10 most intense, 2θ = 10–80°, by intensity)
2theta, I_rel
34.4, 100
61.6, 36
20.9, 27
49.4, 18
40.5, 15
72.5, 11
24.1, 8
54.2, 7
76.4, 5
65.8, 5


4.
The following is a simulated powder diffraction line list of Ca4InAg. It was derived from a crystal structure in Alexandria, relaxed with GGA-PBE, using Cu Kα X-rays.
Peak positions follow from Bragg's law for the DFT cell and can differ from measured ones.

a b c (Å): 8.622 8.622 6.200
angles (deg): 102.20 102.20 113.21
Element x y z (fractional)
Ca: 0.057 0.702 0.928
Ca: 0.228 0.371 0.672
Ca: 0.298 0.943 0.572
Ca: 0.371 0.228 0.172
Ca: 0.629 0.772 0.828
Ca: 0.702 0.057 0.428
Ca: 0.772 0.629 0.328
Ca: 0.943 0.298 0.072
In: 0.369 0.631 0.250
In: 0.631 0.369 0.750
Ag: 0.001 0.999 0.750
Ag: 0.999 0.001 0.250

Peak list (10 most intense, 2θ = 10–80°, by intensity)
2theta, I_rel
32.6, 100
34.5, 74
32.7, 71
36.0, 68
12.3, 68
21.1, 66
29.2, 63
20.3, 53
43.0, 47
16.1, 44


5.
The following is a simulated powder diffraction line list of DyP3H5O6. It was derived from a crystal structure in Alexandria, relaxed with GGA-PBE, using Cu Kα X-rays.
Peak positions follow from Bragg's law for the DFT cell and can differ from measured ones.

a b c (Å): 8.151 8.151 12.461
angles (deg): 121.72 121.72 41.72
Element x y z (fractional)
Dy: 0.000 0.000 0.000
Dy: 0.996 0.004 0.500
P: 0.227 0.083 0.860
P: 0.325 0.330 0.412
P: 0.410 0.405 0.784
P: 0.595 0.590 0.216
P: 0.670 0.675 0.588
P: 0.917 0.773 0.140
H: 0.228 0.235 0.405
H: 0.236 0.281 0.912
H: 0.294 0.296 0.280
H: 0.316 0.313 0.656
H: 0.501 0.484 0.767
H: 0.516 0.499 0.233
H: 0.687 0.684 0.344
H: 0.704 0.706 0.720
H: 0.719 0.764 0.088
H: 0.765 0.772 0.595
O: 0.077 0.089 0.718
O: 0.124 0.123 0.952
O: 0.159 0.613 0.475
O: 0.189 0.636 0.849
O: 0.364 0.811 0.151
O: 0.387 0.841 0.525
O: 0.607 0.165 0.477
O: 0.633 0.184 0.850
O: 0.816 0.367 0.150
O: 0.835 0.393 0.523
O: 0.877 0.876 0.048
O: 0.911 0.923 0.282

Peak list (10 most intense, 2θ = 10–80°, by intensity)
2theta, I_rel
16.8, 100
14.1, 94
14.9, 91
26.9, 82
17.2, 52
23.9, 42
26.2, 41
23.4, 36
23.5, 32
39.0, 29


6.
The following is a simulated powder diffraction line list of TbTm6Tl6. It was derived from a crystal structure in Alexandria, relaxed with GGA-PBE, using Cu Kα X-rays.
Peak positions follow from Bragg's law for the DFT cell and can differ from measured ones.

a b c (Å): 6.374 6.374 10.431
angles (deg): 90.00 90.00 120.00
Element x y z (fractional)
Tb: 0.000 0.000 0.000
Tm: 0.000 0.000 0.339
Tm: 0.000 0.000 0.661
Tm: 0.333 0.667 0.000
Tm: 0.333 0.667 0.500
Tm: 0.667 0.333 0.000
Tm: 0.667 0.333 0.500
Tl: 0.000 0.500 0.246
Tl: 0.000 0.500 0.754
Tl: 0.500 0.000 0.246
Tl: 0.500 0.000 0.754
Tl: 0.500 0.500 0.246
Tl: 0.500 0.500 0.754

Peak list (10 most intense, 2θ = 10–80°, by intensity)
2theta, I_rel
36.8, 100
32.9, 68
32.4, 56
57.9, 33
34.4, 28
28.0, 26
60.7, 25
38.2, 24
69.1, 23
30.4, 20


7.
The following is a simulated powder diffraction line list of CePu8Rh6. It was derived from a crystal structure in Alexandria, relaxed with GGA-PBE, using Cu Kα X-rays.
Peak positions follow from Bragg's law for the DFT cell and can differ from measured ones.

a b c (Å): 9.395 9.395 9.395
angles (deg): 39.07 39.07 39.07
Element x y z (fractional)
Ce: 0.000 0.000 0.000
Pu: 0.138 0.478 0.815
Pu: 0.185 0.862 0.522
Pu: 0.312 0.312 0.312
Pu: 0.478 0.815 0.138
Pu: 0.522 0.185 0.862
Pu: 0.688 0.688 0.688
Pu: 0.815 0.138 0.478
Pu: 0.862 0.522 0.185
Rh: 0.140 0.679 0.387
Rh: 0.321 0.613 0.860
Rh: 0.387 0.140 0.679
Rh: 0.613 0.860 0.321
Rh: 0.679 0.387 0.140
Rh: 0.860 0.321 0.613

Peak list (10 most intense, 2θ = 10–80°, by intensity)
2theta, I_rel
30.3, 100
42.5, 84
35.3, 73
50.3, 54
10.2, 41
20.5, 22
67.9, 18
54.9, 17
59.8, 17
61.1, 14


8.
The following is a simulated powder diffraction line list of Nd2ErTm7. It was derived from a crystal structure in Alexandria, relaxed with GGA-PBE, using Cu Kα X-rays.
Peak positions follow from Bragg's law for the DFT cell and can differ from measured ones.

a b c (Å): 6.104 6.108 9.332
angles (deg): 102.60 109.08 99.55
Element x y z (fractional)
Nd: 0.101 0.001 0.201
Nd: 0.899 0.999 0.799
Er: 0.500 0.500 0.500
Tm: 0.101 0.501 0.700
Tm: 0.299 0.000 0.599
Tm: 0.302 0.502 0.101
Tm: 0.500 0.000 0.000
Tm: 0.698 0.498 0.899
Tm: 0.701 0.000 0.401
Tm: 0.899 0.499 0.300

Peak list (6 most intense, 2θ = 10–80°, by intensity)
2theta, I_rel
31.1, 100
36.0, 51
61.7, 43
51.9, 36
64.8, 12
76.4, 6